This entry pairs a crystal structure of CaB4 with its theoretical XRD peak list. Radiation: Cu Kα, 1.54184 Å. Structure: DFT lattice parameters and positions (PBE).
Lines closer than 0.1° are merged.

Atomic structure:
```
data_CaB4
_cell_length_a 7.1619
_cell_length_b 7.1619
_cell_length_c 4.0972
_cell_angle_alpha 90.00
_cell_angle_beta 90.00
_cell_angle_gamma 90.00
_space_group_name_H-M_alt 'P 4/m b m'
_space_group_IT_number 127
_space_group_name_Hall '-P 4 2ab'
loop_
_atom_site_label
_atom_site_type_symbol
_atom_site_fract_x
_atom_site_fract_y
_atom_site_fract_z
Ca1 Ca 0.1863 0.3137 0.0000
B1 B 0.0000 0.0000 0.2060
B2 B 0.0360 0.8247 0.5000
B3 B 0.0856 0.5856 0.5000
```

Most intense lines, 2θ from 10° to 90°, by intensity:
index	Position (°2θ)	intensity
2 1 1	35.58	100.0
2 0 1	33.23	62.5
2 1 0	27.86	44.3
4 1 0	52.70	30.9
4 1 2	71.17	23.0
2 2 1	41.94	22.9
0 0 2	44.21	19.7
3 1 1	45.78	19.4
4 1 1	57.64	16.9
2 1 2	53.06	13.9